# 1
Structure and simulated powder X-ray diffraction pattern of BaTcP2 (a cell relaxed with GGA-PBE; Cu Kα (weighted mean of Kα1 and Kα2)).
Neutral-atom scattering factors, no anomalous dispersion.

Most intense lines, 2θ from 15° to 90°, sorted by position:
2θ/deg  I (rel.)  hkl
24.41  16.3  0 0 4
26.69  100.0  1 1 2
33.74  26.9  2 0 0
42.08  28.9  2 0 4
44.38  24.8  1 1 6
50.03  6.8  0 0 8
54.98  20.5  2 2 4
56.17  24.5  3 1 2
61.70  9.2  2 0 8
67.80  13.9  3 1 6
86.06  7.4  4 2 4
88.84  6.9  3 1 10

Atomic structure:
```
data_BaTcP2
_cell_length_a 5.3137
_cell_length_b 5.3137
_cell_length_c 14.5859
_cell_angle_alpha 90.00
_cell_angle_beta 90.00
_cell_angle_gamma 90.00
_symmetry_space_group_name_H-M 'I 41/a m d'
_symmetry_Int_Tables_number 141
loop_
_symmetry_equiv_pos_as_xyz
'x,y,z'
'-x,-y,-z'
'-y+1/4,x+3/4,z+1/4'
'y+1/4,-x+3/4,-z+1/4'
'-x+1/2,-y,z+1/2'
'x+1/2,y,-z+1/2'
'y+1/4,-x+1/4,z+3/4'
'-y+1/4,x+1/4,-z+3/4'
'x,-y,-z'
'-x,y,z'
'-y+1/4,-x+1/4,-z+3/4'
'y+1/4,x+1/4,z+3/4'
'-x+1/2,y,-z+1/2'
'x+1/2,-y,z+1/2'
'y+1/4,x+3/4,-z+1/4'
'-y+1/4,-x+3/4,z+1/4'
'x+1/2,y+1/2,z+1/2'
'-x+1/2,-y+1/2,-z+1/2'
'-y+3/4,x+1/4,z+3/4'
'y+3/4,-x+1/4,-z+3/4'
'-x,-y+1/2,z'
'x,y+1/2,-z'
'y+3/4,-x+3/4,z+1/4'
'-y+3/4,x+3/4,-z+1/4'
'x+1/2,-y+1/2,-z+1/2'
'-x+1/2,y+1/2,z+1/2'
'-y+3/4,-x+3/4,-z+1/4'
'y+3/4,x+3/4,z+1/4'
'-x,y+1/2,-z'
'x,-y+1/2,z'
'y+3/4,x+1/4,-z+3/4'
'-y+3/4,-x+1/4,z+3/4'
loop_
_atom_site_label
_atom_site_type_symbol
_atom_site_fract_x
_atom_site_fract_y
_atom_site_fract_z
_atom_site_occupancy
Ba1 Ba 0.0000 0.2500 0.3750 1
Tc1 Tc 0.0000 0.2500 0.8750 1
P1 P 0.0000 0.0000 0.0000 1
```



# 2
Structure and simulated powder X-ray diffraction pattern of BaZr2TlP (a cell relaxed with GGA-PBE; Cu Kα (weighted mean of Kα1 and Kα2)).
Neutral-atom scattering factors, no anomalous dispersion.

Most intense lines, 2θ from 15° to 90°, sorted by position:
2θ/deg  I (rel.)  hkl
23.22  7.3  1 0 1
25.01  9.5  1 1 0
29.29  100.0  1 1 1
30.27  29.3  0 0 2
35.67  37.6  2 0 0
47.46  33.2  2 0 2
51.33  13.2  2 2 0
53.17  18.9  1 1 3
60.20  26.0  3 1 1
60.76  15.8  2 2 2
74.51  8.7  2 0 4
77.04  12.6  3 1 3

Atomic structure:
```
data_BaZr2TlP
_cell_length_a 5.0347
_cell_length_b 5.0347
_cell_length_c 5.9051
_cell_angle_alpha 90.00
_cell_angle_beta 90.00
_cell_angle_gamma 90.00
_symmetry_space_group_name_H-M 'P 4/m m m'
_symmetry_Int_Tables_number 123
_symmetry_space_group_name_Hall '-P 4 2'
loop_
_atom_site_label
_atom_site_type_symbol
_atom_site_fract_x
_atom_site_fract_y
_atom_site_fract_z
_atom_site_occupancy
Ba1 Ba 0.0000 0.0000 0.0000 1
Zr1 Zr 0.0000 0.5000 0.5000 1
Tl1 Tl 0.5000 0.5000 0.0000 1
P1 P 0.0000 0.0000 0.5000 1
```



# 3
Structure and simulated powder X-ray diffraction pattern of BaTmP (a cell relaxed with GGA-PBE; Cu Kα (weighted mean of Kα1 and Kα2)).
Neutral-atom scattering factors, no anomalous dispersion.

Most intense lines, 2θ from 15° to 90°, sorted by position:
2θ/deg  I (rel.)  hkl
24.56  46.0  4 0 0
24.99  58.6  0 1 1
25.74  100.0  1 0 2
31.18  84.0  3 0 2
35.32  28.3  4 1 1
40.09  61.6  5 0 2
44.01  49.0  0 2 0
51.04  45.6  4 2 0
54.92  16.5  3 2 2
61.04  17.8  5 2 2
69.06  18.3  8 2 0
78.26  17.6  5 1 5

Atomic structure:
```
data_BaTmP
_cell_length_a 14.5010
_cell_length_b 4.1141
_cell_length_c 7.1281
_cell_angle_alpha 90.00
_cell_angle_beta 90.00
_cell_angle_gamma 90.00
_symmetry_space_group_name_H-M 'A m m 2'
_symmetry_Int_Tables_number 38
_symmetry_space_group_name_Hall 'A 2 -2'
loop_
_atom_site_label
_atom_site_type_symbol
_atom_site_fract_x
_atom_site_fract_y
_atom_site_fract_z
_atom_site_occupancy
Ba1 Ba 0.1324 0.0000 0.0000 1
Tm1 Tm 0.3896 0.0000 0.3309 1
P1 P 0.0000 0.0000 0.3333 1
P2 P 0.5000 0.0000 0.9976 1
```



# 4
Structure and simulated powder X-ray diffraction pattern of BaPW (a cell relaxed with GGA-PBE; Cu Kα (weighted mean of Kα1 and Kα2)).
Neutral-atom scattering factors, no anomalous dispersion.

Most intense lines, 2θ from 15° to 90°, sorted by position:
2θ/deg  I (rel.)  hkl
27.75  59.7  1 0 1
29.21  39.3  0 0 4
34.78  100.0  1 0 3
38.20  54.4  1 1 0
48.80  37.9  1 1 4
55.14  18.7  2 0 0
59.76  29.2  1 0 7
60.02  8.2  1 1 6
62.83  12.5  2 1 1
63.61  17.2  2 0 4
66.86  30.1  2 1 3
85.69  22.0  2 1 7

Atomic structure:
```
data_BaPW
_cell_length_a 3.3315
_cell_length_b 3.3315
_cell_length_c 12.2306
_cell_angle_alpha 90.00
_cell_angle_beta 90.00
_cell_angle_gamma 90.00
_symmetry_space_group_name_H-M 'I 4 m m'
_symmetry_Int_Tables_number 107
_symmetry_space_group_name_Hall 'I 4 -2'
loop_
_atom_site_label
_atom_site_type_symbol
_atom_site_fract_x
_atom_site_fract_y
_atom_site_fract_z
_atom_site_occupancy
Ba1 Ba 0.0000 0.0000 0.0000 1
P1 P 0.0000 0.0000 0.7205 1
W1 W 0.0000 0.0000 0.2883 1
```



# 5
Structure and simulated powder X-ray diffraction pattern of BaY4P (a cell relaxed with GGA-PBE; Cu Kα (weighted mean of Kα1 and Kα2)).
Neutral-atom scattering factors, no anomalous dispersion.

Most intense lines, 2θ from 15° to 90°, sorted by position:
2θ/deg  I (rel.)  hkl
16.33  16.7  1 1 1
18.87  9.3  2 0 0
26.81  21.9  2 2 0
31.55  100.0  3 1 1
33.00  45.1  2 2 2
38.28  6.3  4 0 0
47.36  8.8  4 2 2
50.43  34.6  5 1 1
55.26  29.0  4 4 0
65.04  11.9  5 3 3
65.88  17.3  6 2 2
78.06  21.1  5 5 3

Atomic structure:
```
data_BaY4P
_cell_length_a 9.4038
_cell_length_b 9.4038
_cell_length_c 9.4038
_cell_angle_alpha 90.00
_cell_angle_beta 90.00
_cell_angle_gamma 90.00
_symmetry_space_group_name_H-M 'F -4 3 m'
_symmetry_Int_Tables_number 216
_symmetry_space_group_name_Hall 'F -4 2 3'
loop_
_atom_site_label
_atom_site_type_symbol
_atom_site_fract_x
_atom_site_fract_y
_atom_site_fract_z
_atom_site_occupancy
Ba1 Ba 0.0000 0.0000 0.0000 1
Y1 Y 0.1249 0.1249 0.3751 1
P1 P 0.2500 0.2500 0.7500 1
```



# 6
Structure and simulated powder X-ray diffraction pattern of Ba2ZnP2 (a cell relaxed with GGA-PBE; Cu Kα (weighted mean of Kα1 and Kα2)).
Neutral-atom scattering factors, no anomalous dispersion.

Most intense lines, 2θ from 15° to 90°, sorted by position:
2θ/deg  I (rel.)  hkl
23.24  100.0  1 2 1
23.98  28.9  1 3 0
26.10  17.9  2 0 0
26.89  27.8  0 4 0
27.70  31.6  0 0 2
30.39  37.3  2 1 1
31.44  18.5  1 1 2
37.82  38.0  2 4 0
38.42  41.0  2 0 2
38.99  53.3  0 4 2
46.40  16.5  1 2 3
53.48  19.6  3 3 2

Atomic structure:
```
data_Ba2ZnP2
_cell_length_a 6.8279
_cell_length_b 13.2627
_cell_length_c 6.4418
_cell_angle_alpha 90.00
_cell_angle_beta 90.00
_cell_angle_gamma 90.00
_symmetry_space_group_name_H-M 'I b a m'
_symmetry_Int_Tables_number 72
_symmetry_space_group_name_Hall '-I 2 2c'
loop_
_atom_site_label
_atom_site_type_symbol
_atom_site_fract_x
_atom_site_fract_y
_atom_site_fract_z
_atom_site_occupancy
Ba1 Ba 0.1931 0.1396 0.0000 1
Zn1 Zn 0.0000 0.5000 0.2500 1
P1 P 0.1985 0.3943 0.0000 1
```



# 7
Structure and simulated powder X-ray diffraction pattern of Ba3ZnP3 (a cell relaxed with GGA-PBE; Cu Kα (weighted mean of Kα1 and Kα2)).
Neutral-atom scattering factors, no anomalous dispersion.

Most intense lines, 2θ from 15° to 90°, sorted by position:
2θ/deg  I (rel.)  hkl
23.29  100.0  3 1 2
24.65  19.9  1 1 3
26.58  22.8  0 2 0
27.09  47.0  0 0 4
27.22  37.5  6 0 0
28.94  20.2  2 2 1
38.30  32.7  0 2 4
38.42  38.5  6 2 0
38.76  46.4  6 0 4
45.62  14.3  3 1 6
45.81  18.5  9 1 2
47.63  18.6  6 2 4

Atomic structure:
```
data_Ba3ZnP3
_cell_length_a 19.6566
_cell_length_b 6.7059
_cell_length_c 13.1776
_cell_angle_alpha 90.00
_cell_angle_beta 90.00
_cell_angle_gamma 90.00
_symmetry_space_group_name_H-M 'C m c e'
_symmetry_Int_Tables_number 64
_symmetry_space_group_name_Hall '-C 2ac 2'
loop_
_atom_site_label
_atom_site_type_symbol
_atom_site_fract_x
_atom_site_fract_y
_atom_site_fract_z
_atom_site_occupancy
Ba1 Ba 0.0000 0.1854 0.1477 1
Ba2 Ba 0.1733 0.1999 0.8699 1
Zn1 Zn 0.0820 0.0000 0.5000 1
P1 P 0.0000 0.2026 0.4005 1
P2 P 0.1578 0.1965 0.6145 1
```



# 8
Structure and simulated powder X-ray diffraction pattern of Ba2ZrP (a cell relaxed with GGA-PBE; Cu Kα (weighted mean of Kα1 and Kα2)).
Neutral-atom scattering factors, no anomalous dispersion.

Most intense lines, 2θ from 15° to 90°, sorted by position:
2θ/deg  I (rel.)  hkl
19.52  14.0  0 0 2
23.78  42.2  1 1 0
25.74  39.4  2 0 -2
26.80  100.0  2 0 1
29.00  79.5  1 1 -2
29.46  25.1  0 0 3
32.79  29.4  1 1 2
39.22  46.0  3 1 -1
39.64  16.7  0 0 4
42.59  19.8  0 2 0
50.49  25.3  3 1 -4
51.02  15.9  2 2 1

Atomic structure:
```
data_Ba2ZrP
_cell_length_a 8.2001
_cell_length_b 4.2453
_cell_length_c 9.4121
_cell_angle_alpha 90.00
_cell_angle_beta 104.92
_cell_angle_gamma 90.00
_symmetry_space_group_name_H-M 'C 1 m 1'
_symmetry_Int_Tables_number 8
_symmetry_space_group_name_Hall 'C -2y'
loop_
_atom_site_label
_atom_site_type_symbol
_atom_site_fract_x
_atom_site_fract_y
_atom_site_fract_z
_atom_site_occupancy
Ba1 Ba 0.0000 0.0000 0.0000 1
Ba2 Ba 0.1669 0.0000 0.5579 1
Zr1 Zr 0.2748 0.5000 0.2792 1
P1 P 0.4569 0.0000 0.2793 1
```



# 9
Structure and simulated powder X-ray diffraction pattern of BaPaTe4Pd2 (a cell relaxed with GGA-PBE; Cu Kα (weighted mean of Kα1 and Kα2)).
Neutral-atom scattering factors, no anomalous dispersion.

Most intense lines, 2θ from 15° to 90°, sorted by position:
2θ/deg  I (rel.)  hkl
15.11  36.3  0 1 1
26.36  96.3  1 1 2
29.62  22.3  2 1 1
30.49  62.2  0 2 2
32.50  48.7  2 0 2
34.30  100.0  2 2 0
40.35  19.1  1 2 3
42.23  30.9  1 3 2
44.40  50.8  1 1 4
45.27  24.1  3 1 2
46.47  21.3  0 4 0
56.01  18.7  1 3 4

Atomic structure:
```
data_BaPaTe4Pd2
_cell_length_a 7.0332
_cell_length_b 7.8172
_cell_length_c 8.8679
_cell_angle_alpha 90.00
_cell_angle_beta 90.00
_cell_angle_gamma 90.00
_symmetry_space_group_name_H-M 'I 2 2 2'
_symmetry_Int_Tables_number 23
_symmetry_space_group_name_Hall 'I 2 2'
loop_
_atom_site_label
_atom_site_type_symbol
_atom_site_fract_x
_atom_site_fract_y
_atom_site_fract_z
_atom_site_occupancy
Ba1 Ba 0.0000 0.0000 0.0000 1
Pa1 Pa 0.0000 0.0000 0.5000 1
Te1 Te 0.2160 0.2308 0.2924 1
Pd1 Pd 0.0000 0.5000 0.1585 1
```



# 10
Structure and simulated powder X-ray diffraction pattern of Ba3Pm2PaSb6 (a cell relaxed with GGA-PBE; Cu Kα (weighted mean of Kα1 and Kα2)).
Neutral-atom scattering factors, no anomalous dispersion.

Most intense lines, 2θ from 15° to 90°, sorted by position:
2θ/deg  I (rel.)  hkl
26.69  50.1  2 0 -2
26.70  100.0  1 3 1
37.58  53.0  2 0 2
38.64  58.2  0 6 0
45.80  8.0  0 0 4
47.56  20.7  2 6 -2
47.65  13.9  4 0 0
55.00  11.5  2 6 2
61.42  19.8  3 3 3
62.89  25.9  5 3 -3
69.19  11.4  4 6 -4
69.92  9.8  6 0 -2

Atomic structure:
```
data_Ba3Pm2PaSb6
_cell_length_a 8.0677
_cell_length_b 13.9917
_cell_length_c 8.3721
_cell_angle_alpha 90.00
_cell_angle_beta 108.80
_cell_angle_gamma 90.00
_symmetry_space_group_name_H-M 'C 1 2/m 1'
_symmetry_Int_Tables_number 12
_symmetry_space_group_name_Hall '-C 2y'
loop_
_atom_site_label
_atom_site_type_symbol
_atom_site_fract_x
_atom_site_fract_y
_atom_site_fract_z
_atom_site_occupancy
Ba1 Ba 0.0000 0.0000 0.0000 1
Ba2 Ba 0.0000 0.3296 0.0000 1
Pm1 Pm 0.0000 0.1660 0.5000 1
Pa1 Pa 0.0000 0.5000 0.5000 1
Sb1 Sb 0.2313 0.3388 0.7113 1
Sb2 Sb 0.2499 0.0000 0.7137 1
```



# 11
Structure and simulated powder X-ray diffraction pattern of RbBaPaS4 (a cell relaxed with GGA-PBE; Cu Kα (weighted mean of Kα1 and Kα2)).
Neutral-atom scattering factors, no anomalous dispersion.

Most intense lines, 2θ from 15° to 90°, sorted by position:
2θ/deg  I (rel.)  hkl
17.67  26.9  1 0 1
23.63  100.0  1 0 3
23.82  78.0  1 1 0
32.56  32.0  1 0 5
33.38  19.9  0 0 6
33.94  53.5  2 0 0
41.42  25.1  1 1 6
41.78  46.8  2 1 3
47.74  22.2  2 1 5
48.34  27.4  2 0 6
48.76  18.7  2 2 0
54.93  26.9  3 1 0

Atomic structure:
```
data_RbBaPaS4
_cell_length_a 5.2822
_cell_length_b 5.2822
_cell_length_c 16.1067
_cell_angle_alpha 90.00
_cell_angle_beta 90.00
_cell_angle_gamma 90.00
_symmetry_space_group_name_H-M 'I 4 m m'
_symmetry_Int_Tables_number 107
_symmetry_space_group_name_Hall 'I 4 -2'
loop_
_atom_site_label
_atom_site_type_symbol
_atom_site_fract_x
_atom_site_fract_y
_atom_site_fract_z
_atom_site_occupancy
Rb1 Rb 0.0000 0.0000 0.0000 1
Ba1 Ba 0.0000 0.0000 0.7151 1
Pa1 Pa 0.0000 0.0000 0.3592 1
S1 S 0.0000 0.0000 0.1984 1
S2 S 0.0000 0.0000 0.5182 1
S3 S 0.0000 0.5000 0.3490 1
```



# 12
Structure and simulated powder X-ray diffraction pattern of RbBa2PaSe5 (a cell relaxed with GGA-PBE; Cu Kα (weighted mean of Kα1 and Kα2)).
Neutral-atom scattering factors, no anomalous dispersion.

Most intense lines, 2θ from 15° to 90°, sorted by position:
2θ/deg  I (rel.)  hkl
17.26  18.7  1 0 1
22.83  100.0  1 1 2
30.88  21.0  0 1 5
32.09  67.9  0 2 4
32.69  42.1  1 2 3
32.91  42.0  2 0 0
39.29  24.4  1 3 2
44.09  14.3  1 0 7
45.22  16.3  0 4 0
45.75  14.3  2 1 5
46.63  47.6  2 2 4
57.04  16.4  2 4 0

Atomic structure:
```
data_RbBa2PaSe5
_cell_length_a 5.4439
_cell_length_b 8.0217
_cell_length_c 15.5244
_cell_angle_alpha 90.00
_cell_angle_beta 90.00
_cell_angle_gamma 90.00
_symmetry_space_group_name_H-M 'I m m m'
_symmetry_Int_Tables_number 71
_symmetry_space_group_name_Hall '-I 2 2'
loop_
_atom_site_label
_atom_site_type_symbol
_atom_site_fract_x
_atom_site_fract_y
_atom_site_fract_z
_atom_site_occupancy
Rb1 Rb 0.0000 0.0000 0.0000 1
Ba1 Ba 0.0000 0.5000 0.2110 1
Pa1 Pa 0.0000 0.0000 0.5000 1
Se1 Se 0.0000 0.2338 0.3680 1
Se2 Se 0.0000 0.5000 0.0000 1
```